Starting from DFT lattice parameters and positions (PBE+U), the X-ray powder pattern of Mn2AlO4 was simulated for Cu Kα (weighted mean of Kα1 and Kα2).

Cell and atoms:
```
data_Mn2AlO4
_space_group_name_H-M_alt 'I 41/a'
_space_group_IT_number 88
_cell_length_a 5.295
_cell_length_b 5.295
_cell_length_c 10.237
_cell_angle_alpha 90.00
_cell_angle_beta 90.00
_cell_angle_gamma 90.00
loop_
_space_group_symop_operation_xyz
'x,y,z'
'-x,-y,-z'
'-y+3/4,x+1/4,z+1/4'
'y+3/4,-x+1/4,-z+1/4'
'-x+1/2,-y,z+1/2'
'x+1/2,y,-z+1/2'
'y+3/4,-x+3/4,z+3/4'
'-y+3/4,x+3/4,-z+3/4'
'x+1/2,y+1/2,z+1/2'
'-x+1/2,-y+1/2,-z+1/2'
'-y+1/4,x+3/4,z+3/4'
'y+1/4,-x+3/4,-z+3/4'
'-x,-y+1/2,z'
'x,y+1/2,-z'
'y+1/4,-x+1/4,z+1/4'
'-y+1/4,x+1/4,-z+1/4'
loop_
_atom_site_label
_atom_site_type_symbol
_atom_site_fract_x
_atom_site_fract_y
_atom_site_fract_z
Mn1 Mn 0.000 0.000 0.000
Al1 Al 0.000 0.250 0.625
O1 O 0.188 0.047 0.403
```

Peak list (10 most intense, 15° ≤ 2θ ≤ 90°, sorted by position)
h k l	Position (°2θ)	intensity
1 0 1	18.87	49
1 0 3	31.18	66
2 0 2	38.27	100
1 2 1	39.04	83
1 0 5	47.62	31
3 0 3	58.91	16
2 2 4	61.35	47
2 3 1	64.05	22
2 0 6	65.03	17
4 2 2	83.87	16

Starting from DFT lattice parameters and positions (PBE+U), the X-ray powder pattern of Mn2AlO4 was simulated for Cu Kα (weighted mean of Kα1 and Kα2).

Cell and atoms:
Cell: 8.500 8.500 8.500 Å, 90.00 90.00 90.00°
Space group Fd-3m (No. 227, origin choice 2)
Unique sites:
1 Mn 0.000 0.000 0.000 (multiplicity 16)
2 Al 0.125 0.125 0.625 (multiplicity 8)
3 O 0.000 0.000 0.250 (multiplicity 32)

Peak list (10 most intense, 15° ≤ 2θ ≤ 90°, sorted by position)
h k l	Position (°2θ)	intensity
1 1 1	18.08	43
2 2 0	29.73	10
3 1 1	35.01	100
2 2 2	36.62	11
4 0 0	42.54	55
3 3 1	46.58	10
3 3 3	56.24	31
4 4 0	61.74	57
5 3 3	72.99	10
7 3 1	88.32	18

Starting from DFT lattice parameters and positions (PBE+U), the X-ray powder pattern of Mn2Al2O7 was simulated for Cu Kα (weighted mean of Kα1 and Kα2).

Cell and atoms:
Cell: 9.399 9.399 9.399 Å, 90.00 90.00 90.00°
Space group Fd-3m (No. 227, origin choice 2)
Unique sites:
1 Mn 0.000 0.000 0.000 (multiplicity 16)
2 Al 0.000 0.000 0.500 (multiplicity 16)
3 O 0.096 0.375 0.375 (multiplicity 48)
4 O 0.125 0.125 0.625 (multiplicity 8)

Peak list (10 most intense, 15° ≤ 2θ ≤ 90°, sorted by position)
h k l	Position (°2θ)	intensity
1 1 1	16.33	18
3 1 1	31.57	25
2 2 2	33.01	100
4 0 0	38.30	6
3 3 3	50.45	6
4 4 0	55.29	72
6 2 2	65.92	36
4 4 4	69.26	3
7 3 1	78.10	5
8 0 0	82.01	9

Starting from DFT lattice parameters and positions (PBE+U), the X-ray powder pattern of Mn2AlO4 was simulated for Cu Kα (weighted mean of Kα1 and Kα2).

Cell and atoms:
```
data_Mn2AlO4
_space_group_name_H-M_alt 'R -3 m'
_space_group_IT_number 166
_space_group_name_Hall '-R 3 2"'
_cell_length_a 5.9959
_cell_length_b 5.9959
_cell_length_c 14.7391
_cell_angle_alpha 90.00
_cell_angle_beta 90.00
_cell_angle_gamma 120.00
loop_
_atom_site_label
_atom_site_type_symbol
_atom_site_fract_x
_atom_site_fract_y
_atom_site_fract_z
Mn1 Mn 0.0000 0.0000 0.0000
Mn2 Mn 0.0000 0.5000 0.5000
Al1 Al 0.0000 0.0000 0.3788
O1 O 0.0000 0.0000 0.2576
O2 O 0.0004 0.5002 0.2450
```

Peak list (10 most intense, 15° ≤ 2θ ≤ 90°, sorted by position)
h k l	Position (°2θ)	intensity
0 0 3	18.10	42
1 0 4	29.77	10
1 1 3	35.06	100
2 0 2	36.70	9
0 2 4	42.60	54
0 2 7	56.23	8
3 0 3	56.34	23
2 0 8	61.74	28
2 2 0	61.90	28
1 4 3	88.55	10

Starting from DFT lattice parameters and positions (PBE+U), the X-ray powder pattern of Mn2AlO4 was simulated for Cu Kα (weighted mean of Kα1 and Kα2).

Cell and atoms:
```
data_Mn2AlO4
_space_group_name_H-M_alt 'P n m a'
_space_group_IT_number 62
_cell_length_a 10.420
_cell_length_b 6.294
_cell_length_c 4.967
_cell_angle_alpha 90.00
_cell_angle_beta 90.00
_cell_angle_gamma 90.00
loop_
_space_group_symop_operation_xyz
'x,y,z'
'-x,-y,-z'
'-x+1/2,-y,z+1/2'
'x+1/2,y,-z+1/2'
'x+1/2,-y+1/2,-z+1/2'
'-x+1/2,y+1/2,z+1/2'
'-x,y+1/2,-z'
'x,-y+1/2,z'
loop_
_atom_site_label
_atom_site_type_symbol
_atom_site_fract_x
_atom_site_fract_y
_atom_site_fract_z
Mn1 Mn 0.000 0.000 0.000
Mn2 Mn 0.222 0.250 0.470
Al1 Al 0.089 0.750 0.421
O1 O 0.064 0.250 0.756
O2 O 0.093 0.750 0.769
O3 O 0.149 0.521 0.248
```

Peak list (10 most intense, 15° ≤ 2θ ≤ 90°, sorted by position)
h k l	Position (°2θ)	intensity
1 0 1	19.80	26
1 1 1	24.38	67
3 0 1	31.43	69
2 2 0	33.26	39
3 1 1	34.59	71
1 2 1	34.83	100
2 2 2	49.95	71
4 0 2	50.80	33
0 4 0	58.67	26
6 2 0	60.93	30

Starting from DFT lattice parameters and positions (PBE+U), the X-ray powder pattern of Mn13Al4Si2Sb2O28 was simulated for Cu Kα (weighted mean of Kα1 and Kα2).

Cell and atoms:
```
data_Mn13Al4Si2Sb2O28
_space_group_name_H-M_alt 'C 1 2/m 1'
_space_group_IT_number 12
_cell_length_a 5.656
_cell_length_b 23.261
_cell_length_c 9.202
_cell_angle_alpha 90.00
_cell_angle_beta 100.78
_cell_angle_gamma 90.00
loop_
_space_group_symop_operation_xyz
'x,y,z'
'-x,-y,-z'
'-x,y,-z'
'x,-y,z'
'x+1/2,y+1/2,z'
'-x+1/2,-y+1/2,-z'
'-x+1/2,y+1/2,-z'
'x+1/2,-y+1/2,z'
loop_
_atom_site_label
_atom_site_type_symbol
_atom_site_fract_x
_atom_site_fract_y
_atom_site_fract_z
Mn1 Mn 0.000 0.000 0.000
Mn2 Mn 0.000 0.287 0.000
Mn3 Mn 0.000 0.427 0.000
Mn4 Mn 0.217 0.147 0.644
Mn5 Mn 0.223 0.430 0.651
Al1 Al 0.237 0.285 0.681
Si1 Si 0.236 0.000 0.689
Sb1 Sb 0.000 0.141 0.000
O1 O 0.058 0.000 0.351
O2 O 0.081 0.274 0.353
O3 O 0.156 0.441 0.379
O4 O 0.172 0.152 0.401
O5 O 0.186 0.500 0.128
O6 O 0.189 0.207 0.118
O7 O 0.194 0.078 0.115
O8 O 0.237 0.355 0.120
```

Peak list (10 most intense, 15° ≤ 2θ ≤ 90°, sorted by position)
h k l	Position (°2θ)	intensity
0 0 2	19.65	32
0 0 3	29.65	100
1 7 0	31.37	68
2 0 -1	31.88	40
1 7 1	33.85	87
2 0 -2	34.59	36
1 7 -2	35.57	43
1 7 3	45.86	39
3 7 -1	56.09	51
1 7 -5	57.69	31